This entry pairs a crystal structure of TaBeMo2 with its calculated PXRD pattern. Radiation: Cu Kα (λ = 1.5418 Å). Structure: a structure optimized by DFT (GGA-PBE).
Intensities are scaled so that the largest is 100.

Structure:
```
data_TaBeMo2
_cell_length_a 3.745
_cell_length_b 3.745
_cell_length_c 4.262
_cell_angle_alpha 90.00
_cell_angle_beta 90.00
_cell_angle_gamma 90.00
_symmetry_space_group_name_H-M 'P 4/m m m'
_symmetry_Int_Tables_number 123
_symmetry_space_group_name_Hall '-P 4 2'
loop_
_atom_site_label
_atom_site_type_symbol
_atom_site_fract_x
_atom_site_fract_y
_atom_site_fract_z
_atom_site_occupancy
Ta1 Ta 0.000 0.000 0.000 1
Be1 Be 0.500 0.500 0.000 1
Mo1 Mo 0.000 0.500 0.500 1
```

Most intense lines, 10 to 90 degrees two-theta, low angle first:
2theta, intensity, h k l
23.76, 39.6, 1 0 0
31.81, 38.4, 1 0 1
40.09, 100.0, 1 1 1
42.41, 21.3, 0 0 2
48.63, 28.4, 2 0 0
66.47, 22.1, 2 0 2
76.02, 15.2, 1 1 3
85.01, 23.2, 3 1 1